Starting from a crystal structure in Alexandria, relaxed with GGA-PBE, the powder diffractogram of La2Cd5Hg5 was simulated for copper Kα.
Neutral-atom scattering factors, no anomalous dispersion.

Crystal structure
```
data_La2Cd5Hg5
_chemical_formula_sum 'La2 Cd5 Hg5'
_cell_length_a 5.099
_cell_length_b 5.848
_cell_length_c 10.285
_cell_angle_alpha 90.00
_cell_angle_beta 90.00
_cell_angle_gamma 90.00
_symmetry_space_group_name_H-M 'P m m m'
_symmetry_Int_Tables_number 47
loop_
_symmetry_equiv_pos_as_xyz
'x,y,z'
'-x,-y,-z'
'-x,-y,z'
'x,y,-z'
'x,-y,-z'
'-x,y,z'
'-x,y,-z'
'x,-y,z'
loop_
_atom_site_label
_atom_site_type_symbol
_atom_site_fract_x
_atom_site_fract_y
_atom_site_fract_z
_atom_site_occupancy
La1 La 0.000 0.000 0.000 1
La2 La 0.000 0.500 0.500 1
Cd1 Cd 0.500 0.000 0.500 1
Cd2 Cd 0.500 0.250 0.251 1
Hg1 Hg 0.000 0.000 0.333 1
Hg2 Hg 0.000 0.500 0.170 1
Hg3 Hg 0.500 0.500 0.000 1
```

Most intense lines, 2θ from 10° to 90°, low angle first:
hkl	2θ/deg	I_rel
0 1 1	17.4	32
0 1 3	30.2	22
0 2 0	30.6	16
1 1 3	35.1	100
2 0 0	35.2	44
1 2 0	35.4	48
1 0 4	39.2	14
1 2 2	39.6	31
1 3 3	57.3	25
0 2 6	62.8	16
3 1 3	63.1	18
2 2 6	74.1	20